Calculated X-ray powder pattern
Compound: La2Al3Zn4Cu
Radiation: Cu Ka
Structure: a cell relaxed with GGA-PBE
No peak broadening, texture or thermal motion is included.

Principal peaks in the range 2θ = 15–90°, in order of rising 2θ:
h k l  2θ (°)  Rel. int.
1 0 1  22.02  209
1 0 3  33.02  670
1 1 2  33.70  1000
2 0 0  41.19  540
1 0 5  48.59  231
2 1 3  53.77  328
2 1 5  65.55  184
3 1 2  70.30  223

Structural model:
```
La2Al3Zn4Cu
1.0
4.383 0.000 0.000
0.000 4.383 0.000
0.000 0.000 10.363
La Al Zn Cu
2 3 4 1
Cartesian
0.000 2.192 2.567
2.192 0.000 7.796
0.000 0.000 0.000
0.000 2.192 6.570
2.192 0.000 3.793
0.000 0.000 5.182
0.000 2.192 9.085
2.192 0.000 1.278
2.192 2.192 5.182
2.192 2.192 0.000
```